The following is a theoretical powder diffractogram of KAlP4H4O14. It was derived from a cell relaxed with GGA-PBE, using copper Kα.
Kinematic intensities with the Lorentz-polarization factor, no thermal factor.

Principal peaks in the range 10° ≤ 2θ ≤ 80°, low angle first:
- 7.275 Å, I = 39
- 5.733 Å, I = 25
- 4.324 Å, I = 13
- 3.926 Å, I = 91
- 3.661 Å, I = 21
- 3.535 Å, I = 15
- 3.362 Å, I = 63
- 3.143 Å, I = 100
- 2.910 Å, I = 14
- 2.411 Å, I = 14

Atomic structure:
```
data_KAlP4H4O14
_chemical_formula_sum 'K1 Al1 P4 H4 O14'
_cell_length_a 5.012
_cell_length_b 7.716
_cell_length_c 7.962
_cell_angle_alpha 80.34
_cell_angle_beta 82.76
_cell_angle_gamma 72.13
_symmetry_space_group_name_H-M 'P -1'
_symmetry_Int_Tables_number 2
_symmetry_space_group_name_Hall '-P 1'
loop_
_atom_site_label
_atom_site_fract_x
_atom_site_fract_y
_atom_site_fract_z
_atom_site_occupancy
K1 0.000 0.000 0.000 1
Al1 0.000 0.500 0.000 1
P1 0.313 0.233 0.316 1
P2 0.405 0.598 0.224 1
H1 0.111 0.770 0.414 1
H2 0.317 0.006 0.619 1
O1 0.157 0.281 0.155 1
O2 0.168 0.165 0.481 1
O3 0.218 0.627 0.078 1
O4 0.291 0.414 0.830 1
O5 0.292 0.758 0.334 1
O6 0.381 0.416 0.351 1
O7 0.394 0.911 0.721 1
```

=====

The following is a theoretical powder diffractogram of PaPt4Rh2. It was derived from a cell relaxed with GGA-PBE, using copper Kα.
Kinematic intensities with the Lorentz-polarization factor, no thermal factor.

Principal peaks in the range 10° ≤ 2θ ≤ 80°, low angle first:
- 3.302 Å, I = 29
- 3.237 Å, I = 76
- 2.582 Å, I = 100
- 2.507 Å, I = 61
- 2.493 Å, I = 66
- 2.159 Å, I = 43
- 2.132 Å, I = 99
- 2.125 Å, I = 91
- 2.114 Å, I = 68
- 2.108 Å, I = 63

Atomic structure:
```
data_PaPt4Rh2
_chemical_formula_sum 'Pa4 Pt16 Rh8'
_cell_length_a 11.133
_cell_length_b 8.200
_cell_length_c 7.852
_cell_angle_alpha 90.00
_cell_angle_beta 134.79
_cell_angle_gamma 90.00
_symmetry_space_group_name_H-M 'C 1 2 1'
_symmetry_Int_Tables_number 5
_symmetry_space_group_name_Hall 'C 2y'
loop_
_atom_site_label
_atom_site_fract_x
_atom_site_fract_y
_atom_site_fract_z
_atom_site_occupancy
Pa1 0.000 0.000 0.000 1
Pa2 0.000 0.250 0.500 1
Pt1 0.037 0.884 0.713 1
Pt2 0.099 0.634 0.229 1
Pt3 0.128 0.363 0.025 1
Pt4 0.177 0.614 0.643 1
Rh1 0.192 0.350 0.444 1
Rh2 0.246 0.150 0.933 1
```

=====

The following is a theoretical powder diffractogram of KEr4PuS8. It was derived from a cell relaxed with GGA-PBE, using copper Kα.
Kinematic intensities with the Lorentz-polarization factor, no thermal factor.

Principal peaks in the range 10° ≤ 2θ ≤ 80°, low angle first:
- 6.656 Å, I = 63
- 3.518 Å, I = 49
- 3.486 Å, I = 100
- 3.471 Å, I = 27
- 3.328 Å, I = 34
- 2.894 Å, I = 64
- 2.227 Å, I = 39
- 2.219 Å, I = 31
- 2.059 Å, I = 54
- 2.034 Å, I = 52

Atomic structure:
```
data_KEr4PuS8
_chemical_formula_sum 'K3 Er12 Pu3 S24'
_cell_length_a 8.1348
_cell_length_b 8.1348
_cell_length_c 20.2990
_cell_angle_alpha 90.00
_cell_angle_beta 90.00
_cell_angle_gamma 120.00
_symmetry_space_group_name_H-M 'R 3 m'
_symmetry_Int_Tables_number 160
_symmetry_space_group_name_Hall 'R 3 -2"'
loop_
_atom_site_label
_atom_site_fract_x
_atom_site_fract_y
_atom_site_fract_z
_atom_site_occupancy
K1 0.0000 0.0000 0.0000 1
Er1 0.0000 0.0000 0.7479 1
Er2 0.0114 0.5057 0.8745 1
Pu1 0.0000 0.0000 0.3702 1
S1 0.0000 0.0000 0.1403 1
S2 0.0000 0.0000 0.6162 1
S3 0.0155 0.5077 0.1284 1
S4 0.1887 0.3775 0.9495 1
```

=====

The following is a theoretical powder diffractogram of La5SnPb2. It was derived from a cell relaxed with GGA-PBE, using copper Kα.
Kinematic intensities with the Lorentz-polarization factor, no thermal factor.

Principal peaks in the range 10° ≤ 2θ ≤ 80°, low angle first:
- 2.903 Å, I = 100
- 2.891 Å, I = 99
- 2.558 Å, I = 69
- 2.418 Å, I = 31
- 1.815 Å, I = 12
- 1.803 Å, I = 11
- 1.757 Å, I = 45
- 1.537 Å, I = 29
- 1.532 Å, I = 26
- 1.473 Å, I = 26

Atomic structure:
```
data_La5SnPb2
_chemical_formula_sum 'La10 Sn2 Pb4'
_cell_length_a 12.094
_cell_length_b 7.213
_cell_length_c 7.260
_cell_angle_alpha 90.00
_cell_angle_beta 126.89
_cell_angle_gamma 90.00
_symmetry_space_group_name_H-M 'C 1 2 1'
_symmetry_Int_Tables_number 5
_symmetry_space_group_name_Hall 'C 2y'
loop_
_atom_site_label
_atom_site_fract_x
_atom_site_fract_y
_atom_site_fract_z
_atom_site_occupancy
La1 0.000 0.000 0.000 1
La2 0.244 0.228 0.017 1
La3 0.244 0.773 0.471 1
Sn1 0.000 0.501 0.000 1
Pb1 0.000 0.000 0.500 1
Pb2 0.000 0.501 0.500 1
```

=====

The following is a theoretical powder diffractogram of Cu3Re. It was derived from a cell relaxed with GGA-PBE, using copper Kα.
Kinematic intensities with the Lorentz-polarization factor, no thermal factor.

Principal peaks in the range 10° ≤ 2θ ≤ 80°, low angle first:
- 8.595 Å, I = 55
- 4.297 Å, I = 14
- 2.865 Å, I = 7
- 2.292 Å, I = 30
- 2.215 Å, I = 16
- 2.149 Å, I = 26
- 2.023 Å, I = 100
- 1.568 Å, I = 18
- 1.323 Å, I = 15
- 1.215 Å, I = 18

Atomic structure:
```
data_Cu3Re
_chemical_formula_sum 'Cu3 Re1'
_cell_length_a 2.6469
_cell_length_b 2.6469
_cell_length_c 8.5946
_cell_angle_alpha 90.00
_cell_angle_beta 90.00
_cell_angle_gamma 120.00
_symmetry_space_group_name_H-M 'P -6 m 2'
_symmetry_Int_Tables_number 187
_symmetry_space_group_name_Hall 'P -6 2'
loop_
_atom_site_label
_atom_site_fract_x
_atom_site_fract_y
_atom_site_fract_z
_atom_site_occupancy
Cu1 0.0000 0.0000 0.0000 1
Cu2 0.6667 0.3333 0.2416 1
Re1 0.0000 0.0000 0.5000 1
```

=====

The following is a theoretical powder diffractogram of Dy8Er5Cd. It was derived from a cell relaxed with GGA-PBE, using copper Kα.
Kinematic intensities with the Lorentz-polarization factor, no thermal factor.

Principal peaks in the range 10° ≤ 2θ ≤ 80°, low angle first:
- 3.111 Å, I = 59
- 3.021 Å, I = 61
- 3.011 Å, I = 83
- 2.781 Å, I = 25
- 2.604 Å, I = 100
- 2.571 Å, I = 45
- 2.551 Å, I = 48
- 1.648 Å, I = 36
- 1.505 Å, I = 18
- 1.444 Å, I = 22

Atomic structure:
```
data_Dy8Er5Cd
_chemical_formula_sum 'Dy16 Er10 Cd2'
_cell_length_a 9.520
_cell_length_b 9.520
_cell_length_c 9.875
_cell_angle_alpha 90.00
_cell_angle_beta 90.00
_cell_angle_gamma 90.00
_symmetry_space_group_name_H-M 'I -4'
_symmetry_Int_Tables_number 82
_symmetry_space_group_name_Hall 'I -4'
loop_
_atom_site_label
_atom_site_fract_x
_atom_site_fract_y
_atom_site_fract_z
_atom_site_occupancy
Dy1 0.067 0.327 0.410 1
Dy2 0.089 0.186 0.746 1
Er1 0.000 0.000 0.500 1
Er2 0.102 0.205 0.081 1
Cd1 0.000 0.500 0.750 1
```

=====

The following is a theoretical powder diffractogram of In12GaPb3. It was derived from a cell relaxed with GGA-PBE, using copper Kα.
Kinematic intensities with the Lorentz-polarization factor, no thermal factor.

Principal peaks in the range 10° ≤ 2θ ≤ 80°, low angle first:
- 3.049 Å, I = 3
- 2.748 Å, I = 100
- 2.570 Å, I = 43
- 2.100 Å, I = 10
- 1.817 Å, I = 16
- 1.626 Å, I = 19
- 1.516 Å, I = 32
- 1.374 Å, I = 10
- 1.306 Å, I = 7
- 1.285 Å, I = 5

Atomic structure:
```
data_In12GaPb3
_chemical_formula_sum 'In12 Ga1 Pb3'
_cell_length_a 5.140
_cell_length_b 5.140
_cell_length_c 16.797
_cell_angle_alpha 90.00
_cell_angle_beta 90.00
_cell_angle_gamma 90.00
_symmetry_space_group_name_H-M 'P 4/m m m'
_symmetry_Int_Tables_number 123
_symmetry_space_group_name_Hall '-P 4 2'
loop_
_atom_site_label
_atom_site_fract_x
_atom_site_fract_y
_atom_site_fract_z
_atom_site_occupancy
In1 0.000 0.000 0.000 1
In2 0.000 0.000 0.244 1
In3 0.000 0.000 0.500 1
In4 0.000 0.500 0.113 1
In5 0.000 0.500 0.372 1
Ga1 0.500 0.500 0.000 1
Pb1 0.500 0.500 0.241 1
Pb2 0.500 0.500 0.500 1
```

=====

The following is a theoretical powder diffractogram of Pm3Cu2Pt. It was derived from a cell relaxed with GGA-PBE, using copper Kα.
Kinematic intensities with the Lorentz-polarization factor, no thermal factor.

Principal peaks in the range 10° ≤ 2θ ≤ 80°, low angle first:
- 5.381 Å, I = 3
- 3.579 Å, I = 3
- 3.392 Å, I = 3
- 2.531 Å, I = 100
- 1.794 Å, I = 6
- 1.787 Å, I = 12
- 1.463 Å, I = 12
- 1.460 Å, I = 24
- 1.266 Å, I = 7
- 1.264 Å, I = 4

Atomic structure:
```
data_Pm3Cu2Pt
_chemical_formula_sum 'Pm3 Cu2 Pt1'
_cell_length_a 3.575
_cell_length_b 3.575
_cell_length_c 10.763
_cell_angle_alpha 90.00
_cell_angle_beta 90.00
_cell_angle_gamma 90.00
_symmetry_space_group_name_H-M 'P 4/m m m'
_symmetry_Int_Tables_number 123
_symmetry_space_group_name_Hall '-P 4 2'
loop_
_atom_site_label
_atom_site_fract_x
_atom_site_fract_y
_atom_site_fract_z
_atom_site_occupancy
Pm1 0.000 0.000 0.000 1
Pm2 0.000 0.000 0.336 1
Cu1 0.500 0.500 0.161 1
Pt1 0.500 0.500 0.500 1
```